Computed powder XRD pattern
Compound: V2HgPdO6
Radiation: Cu Ka
Structure: DFT lattice parameters and positions (PBE+U)

The 10 most intense peaks (10 to 80 degrees two-theta), by angle:
2θ (°)	I/Imax
12.96	32
20.26	75
25.11	75
28.65	100
31.71	31
33.34	37
33.72	22
34.00	49
36.65	32
39.80	25

Cell and atoms:
abc: 7.394 7.394 6.130
angles: 108.97 108.97 94.94
Fractional positions:
V1 0.066 0.222 0.200
V2 0.222 0.066 0.700
V3 0.778 0.934 0.300
V4 0.934 0.778 0.800
Hg1 0.411 0.589 0.750
Hg2 0.589 0.411 0.250
Pd1 0.229 0.771 0.250
Pd2 0.771 0.229 0.750
O1 0.062 0.157 0.467
O2 0.123 0.660 0.874
O3 0.157 0.062 0.967
O4 0.278 0.410 0.354
O5 0.340 0.877 0.626
O6 0.410 0.278 0.854
O7 0.590 0.722 0.146
O8 0.660 0.123 0.374
O9 0.722 0.590 0.646
O10 0.843 0.938 0.033
O11 0.877 0.340 0.126
O12 0.938 0.843 0.533